Entry 1:
For InAgS2, a structure optimized by DFT (PBE) gives the computed X-ray diffraction stick pattern in this record (Cu Kα (weighted mean of Kα1 and Kα2)).

Crystal structure
a = 4.1445 Å, b = 4.1445 Å, c = 6.8742 Å
α = 90.00°, β = 90.00°, γ = 120.00°
Space group P3m1 (No. 156)
One atom of each set of equivalent atoms:
In: 0.0000 0.0000 0.0000 [1 per cell]
Ag: 0.6667 0.3333 0.4628 [1 per cell]
S: 0.0000 0.0000 0.3501 [1 per cell]
S: 0.6667 0.3333 0.8470 [1 per cell]

Peak list (10 most intense, 2θ from 10° to 90°, by angle)
Position (°2θ), Rel. int., hkl
24.8, 57, 1 0 0
25.9, 39, 0 0 2
28.0, 100, 1 0 1
36.2, 28, 0 1 2
43.7, 47, 1 1 0
47.1, 49, 1 0 3
51.5, 33, 1 1 2
52.7, 17, 0 2 1
66.1, 17, 0 2 3
82.7, 18, 2 1 3

***

Entry 2:
For InAgS2, a structure optimized by DFT (PBE) gives the computed X-ray diffraction stick pattern in this record (Cu Kα (weighted mean of Kα1 and Kα2)).

Crystal structure
a = 7.1530 Å, b = 8.3536 Å, c = 6.8057 Å
α = 90.00°, β = 90.00°, γ = 90.00°
Space group Pna2_1 (No. 33)
One atom of each set of equivalent atoms:
In: 0.0729 0.1290 0.0000 [4 per cell]
Ag: 0.0879 0.6307 0.0077 [4 per cell]
S: 0.0763 0.1199 0.3697 [4 per cell]
S: 0.0929 0.6241 0.3859 [4 per cell]

Peak list (10 most intense, 2θ from 10° to 90°, by angle)
Position (°2θ), Rel. int., hkl
24.7, 54, 1 2 0
24.9, 30, 2 0 0
26.2, 62, 0 0 2
28.0, 100, 1 2 1
28.2, 45, 2 0 1
36.3, 24, 1 2 2
43.3, 23, 0 4 0
43.7, 45, 3 2 0
47.3, 50, 1 2 3
51.7, 35, 3 2 2

***

Entry 3:
For InAgS2, a structure optimized by DFT (PBE) gives the computed X-ray diffraction stick pattern in this record (Cu Kα (weighted mean of Kα1 and Kα2)).

Crystal structure
a = 6.7822 Å, b = 3.7122 Å, c = 6.7306 Å
α = 90.00°, β = 97.92°, γ = 90.00°
Space group C2/m (No. 12)
One atom of each set of equivalent atoms:
In: 0.0000 0.0000 0.0000 [2 per cell]
Ag: 0.0000 0.0000 0.5000 [2 per cell]
S: 0.1455 0.5000 0.7726 [4 per cell]

Peak list (10 most intense, 2θ from 10° to 90°, by angle)
Position (°2θ), Rel. int., hkl
26.5, 70, 2 0 0
26.7, 41, 0 0 2
27.5, 100, 1 1 0
35.2, 38, 2 0 -2
37.3, 99, 1 1 -2
40.0, 65, 1 1 2
40.7, 34, 2 0 2
47.4, 51, 3 1 0
49.1, 24, 0 2 0
65.6, 24, 4 0 2

***

Entry 4:
For InAgS2, a structure optimized by DFT (PBE) gives the computed X-ray diffraction stick pattern in this record (Cu Kα (weighted mean of Kα1 and Kα2)).

Crystal structure
a = 5.9294 Å, b = 5.9294 Å, c = 11.5213 Å
α = 90.00°, β = 90.00°, γ = 90.00°
Space group I-42d (No. 122)
One atom of each set of equivalent atoms:
In: 0.0000 0.0000 0.0000 [4 per cell]
Ag: 0.0000 0.0000 0.5000 [4 per cell]
S: 0.2394 0.2500 0.1250 [8 per cell]

Peak list (10 most intense, 2θ from 10° to 90°, by angle)
Position (°2θ), Rel. int., hkl
26.3, 100, 1 1 2
30.1, 16, 2 0 0
31.0, 7, 0 0 4
43.2, 19, 2 2 0
43.8, 37, 2 0 4
51.2, 30, 3 1 2
52.4, 14, 1 1 6
70.2, 11, 3 1 6
79.6, 12, 4 2 4
85.1, 7, 5 1 2

***

Entry 5:
For InAgS2, a structure optimized by DFT (PBE) gives the computed X-ray diffraction stick pattern in this record (Cu Kα (weighted mean of Kα1 and Kα2)).

Crystal structure
a = 3.8822 Å, b = 3.8822 Å, c = 20.7491 Å
α = 90.00°, β = 90.00°, γ = 120.00°
Space group R3m (No. 160, hexagonal axes)
One atom of each set of equivalent atoms:
In: 0.0000 0.0000 0.0000 [3 per cell]
Ag: 0.0000 0.0000 0.8489 [3 per cell]
S: 0.0000 0.0000 0.2575 [3 per cell]
S: 0.0000 0.0000 0.7310 [3 per cell]

Peak list (10 most intense, 2θ from 10° to 90°, by angle)
Position (°2θ), Rel. int., hkl
25.8, 27, 0 0 6
26.9, 100, 1 0 1
27.9, 24, 0 1 2
31.7, 19, 1 0 4
34.3, 30, 0 1 5
40.6, 56, 1 0 7
44.1, 34, 0 1 8
46.8, 46, 1 1 0
54.2, 21, 1 1 6
63.6, 14, 0 2 7

***

Entry 6:
For InAgS2, a structure optimized by DFT (PBE) gives the computed X-ray diffraction stick pattern in this record (Cu Kα (weighted mean of Kα1 and Kα2)).

Crystal structure
a = 3.8220 Å, b = 3.8220 Å, c = 19.3991 Å
α = 90.00°, β = 90.00°, γ = 120.00°
Space group R-3m (No. 166, hexagonal axes)
One atom of each set of equivalent atoms:
In: 0.0000 0.0000 0.0000 [3 per cell]
Ag: 0.0000 0.0000 0.5000 [3 per cell]
S: 0.0000 0.0000 0.2554 [6 per cell]

Peak list (10 most intense, 2θ from 10° to 90°, by angle)
Position (°2θ), Rel. int., hkl
27.6, 16, 0 0 6
28.5, 43, 0 1 2
32.8, 100, 1 0 4
46.4, 36, 0 1 8
47.6, 33, 1 1 0
55.9, 13, 1 1 6
59.0, 17, 0 2 4
77.3, 15, 1 1 12
79.0, 14, 2 1 4
87.8, 11, 1 2 8

***

Entry 7:
For InAgSeS, a structure optimized by DFT (PBE) gives the computed X-ray diffraction stick pattern in this record (Cu Kα (weighted mean of Kα1 and Kα2)).

Crystal structure
a = 6.0622 Å, b = 6.0907 Å, c = 11.8125 Å
α = 90.00°, β = 90.00°, γ = 90.00°
Space group I2_12_12_1 (No. 24)
One atom of each set of equivalent atoms:
In: 0.0000 0.2500 0.1197 [4 per cell]
Ag: 0.0000 0.2500 0.6168 [4 per cell]
Se: 0.2465 0.5000 0.2500 [4 per cell]
S: 0.2500 0.0128 0.0000 [4 per cell]

Peak list (10 most intense, 2θ from 10° to 90°, by angle)
Position (°2θ), Rel. int., hkl
25.6, 100, 1 1 2
42.1, 23, 2 2 0
42.6, 22, 0 2 4
42.7, 22, 2 0 4
49.8, 15, 1 3 2
50.0, 15, 3 1 2
51.0, 14, 1 1 6
77.2, 7, 2 4 4
77.4, 7, 4 2 4
78.6, 6, 2 2 8

***

Entry 8:
For InAg2SbSe4, a structure optimized by DFT (PBE) gives the computed X-ray diffraction stick pattern in this record (Cu Kα (weighted mean of Kα1 and Kα2)).

Crystal structure
a = 5.6916 Å, b = 5.6916 Å, c = 11.6748 Å
α = 90.00°, β = 90.00°, γ = 90.00°
Space group I-4m2 (No. 119)
One atom of each set of equivalent atoms:
In: 0.0000 0.0000 0.0000 [2 per cell]
Ag: 0.0000 0.0000 0.5000 [2 per cell]
Ag: 0.0000 0.5000 0.7500 [2 per cell]
Sb: 0.0000 0.5000 0.2500 [2 per cell]
Se: 0.0000 0.0000 0.2435 [4 per cell]
Se: 0.0000 0.5000 0.0028 [4 per cell]

Peak list (10 most intense, 2θ from 10° to 90°, by angle)
Position (°2θ), Rel. int., hkl
30.6, 53, 0 0 4
31.4, 100, 2 0 0
44.5, 75, 2 0 4
45.1, 36, 2 2 0
55.5, 38, 2 2 4
72.8, 16, 2 0 8
74.1, 16, 4 0 4
74.6, 16, 4 2 0
81.5, 12, 2 2 8
82.7, 24, 4 2 4

***

Entry 9:
For In2Ag3SbSe6, a structure optimized by DFT (PBE) gives the computed X-ray diffraction stick pattern in this record (Cu Kα (weighted mean of Kα1 and Kα2)).

Crystal structure
a = 4.0491 Å, b = 4.0491 Å, c = 19.8594 Å
α = 90.00°, β = 90.00°, γ = 120.00°
Space group P-3m1 (No. 164)
One atom of each set of equivalent atoms:
In: 0.3333 0.6667 0.1669 [2 per cell]
Ag: 0.0000 0.0000 0.0000 [1 per cell]
Ag: 0.3333 0.6667 0.6690 [2 per cell]
Sb: 0.0000 0.0000 0.5000 [1 per cell]
Se: 0.0000 0.0000 0.2485 [2 per cell]
Se: 0.3333 0.6667 0.4143 [2 per cell]
Se: 0.3333 0.6667 0.9129 [2 per cell]

Peak list (10 most intense, 2θ from 10° to 90°, by angle)
Position (°2θ), Rel. int., hkl
27.0, 7, 0 0 6
31.2, 100, 1 0 4
44.7, 72, 1 1 0
53.0, 3, 1 0 10
55.6, 25, 0 2 4
65.1, 11, 2 0 8
71.8, 1, 0 1 14
74.0, 31, 2 1 4
82.5, 17, 1 2 8
82.5, 6, 3 0 0

***

Entry 10:
For InAgSe2, a structure optimized by DFT (PBE) gives the computed X-ray diffraction stick pattern in this record (Cu Kα (weighted mean of Kα1 and Kα2)).

Crystal structure
a = 7.4876 Å, b = 8.7555 Å, c = 7.1417 Å
α = 90.00°, β = 90.00°, γ = 90.00°
Space group Pna2_1 (No. 33)
One atom of each set of equivalent atoms:
In: 0.0729 0.1286 0.0000 [4 per cell]
Ag: 0.0883 0.6302 0.0081 [4 per cell]
Se: 0.0778 0.1220 0.3715 [4 per cell]
Se: 0.0912 0.6220 0.3831 [4 per cell]

Peak list (10 most intense, 2θ from 10° to 90°, by angle)
Position (°2θ), Rel. int., hkl
23.5, 100, 1 2 0
23.8, 53, 2 0 0
24.9, 90, 0 0 2
26.7, 81, 1 2 1
26.9, 37, 2 0 1
41.2, 46, 0 4 0
41.7, 88, 3 2 0
45.0, 93, 1 2 3
45.1, 44, 2 0 3
49.2, 54, 3 2 2

***

Entry 11:
For InAgSe2, a structure optimized by DFT (PBE) gives the computed X-ray diffraction stick pattern in this record (Cu Kα (weighted mean of Kα1 and Kα2)).

Crystal structure
a = 4.0111 Å, b = 4.0111 Å, c = 19.9574 Å
α = 90.00°, β = 90.00°, γ = 120.00°
Space group R-3m (No. 166, hexagonal axes)
One atom of each set of equivalent atoms:
In: 0.0000 0.0000 0.0000 [3 per cell]
Ag: 0.0000 0.0000 0.5000 [3 per cell]
Se: 0.0000 0.0000 0.2526 [6 per cell]

Peak list (10 most intense, 2θ from 10° to 90°, by angle)
Position (°2θ), Rel. int., hkl
31.4, 100, 1 0 4
44.7, 37, 0 1 8
45.2, 36, 1 1 0
55.2, 6, 0 0 12
56.1, 18, 0 2 4
65.5, 11, 2 0 8
74.1, 16, 1 1 12
74.8, 15, 2 1 4
82.1, 6, 1 0 16
83.1, 12, 1 2 8

***

Entry 12:
For InAgSe2, a structure optimized by DFT (PBE) gives the computed X-ray diffraction stick pattern in this record (Cu Kα (weighted mean of Kα1 and Kα2)).

Crystal structure
a = 6.2182 Å, b = 6.2182 Å, c = 12.0107 Å
α = 90.00°, β = 90.00°, γ = 90.00°
Space group I-42d (No. 122)
One atom of each set of equivalent atoms:
In: 0.0000 0.0000 0.0000 [4 per cell]
Ag: 0.0000 0.0000 0.5000 [4 per cell]
Se: 0.2457 0.2500 0.1250 [8 per cell]

Peak list (10 most intense, 2θ from 10° to 90°, by angle)
Position (°2θ), Rel. int., hkl
25.1, 100, 1 1 2
41.1, 26, 2 2 0
41.8, 49, 2 0 4
48.7, 32, 3 1 2
50.1, 15, 1 1 6
59.5, 8, 4 0 0
66.7, 12, 3 1 6
75.3, 16, 4 2 4
76.9, 8, 2 2 8
80.3, 7, 5 1 2

***

Entry 13:
For InAgSe2, a structure optimized by DFT (PBE) gives the computed X-ray diffraction stick pattern in this record (Cu Kα (weighted mean of Kα1 and Kα2)).

Crystal structure
a = 5.6681 Å, b = 5.6681 Å, c = 11.5781 Å
α = 90.00°, β = 90.00°, γ = 90.00°
Space group I4_1/amd (No. 141, origin choice 2)
One atom of each set of equivalent atoms:
In: 0.0000 0.2500 0.3750 [4 per cell]
Ag: 0.0000 0.2500 0.8750 [4 per cell]
Se: 0.0000 0.2500 0.1336 [8 per cell]

Peak list (10 most intense, 2θ from 10° to 90°, by angle)
Position (°2θ), Rel. int., hkl
30.9, 52, 0 0 4
31.6, 100, 2 0 0
44.8, 73, 2 0 4
45.2, 36, 2 2 0
55.8, 37, 2 2 4
73.5, 15, 2 0 8
74.6, 15, 4 0 4
74.9, 16, 4 2 0
82.2, 11, 2 2 8
83.2, 23, 4 2 4

***

Entry 14:
For InAgSe2, a structure optimized by DFT (PBE) gives the computed X-ray diffraction stick pattern in this record (Cu Kα (weighted mean of Kα1 and Kα2)).

Crystal structure
a = 5.6826 Å, b = 5.6959 Å, c = 7.0163 Å
α = 113.94°, β = 113.81°, γ = 90.01°
Space group P1 (No. 1)
One atom of each set of equivalent atoms:
In: 0.0000 0.0000 0.0000 [1 per cell]
In: 0.2498 0.7490 0.5002 [1 per cell]
Ag: 0.4944 0.4959 0.0037 [1 per cell]
Ag: 0.7481 0.2433 0.5026 [1 per cell]
Se: 0.0036 0.5074 0.0238 [1 per cell]
Se: 0.2347 0.2342 0.4775 [1 per cell]
Se: 0.4864 0.9817 0.9777 [1 per cell]
Se: 0.7576 0.7531 0.5238 [1 per cell]

Peak list (10 most intense, 2θ from 10° to 90°, by angle)
Position (°2θ), Rel. int., hkl
27.0, 10, 1 1 -2
31.1, 50, 0 0 2
31.4, 100, 2 0 -1
44.8, 71, 2 0 1
45.1, 36, 2 -2 0
55.8, 36, 2 2 0
73.8, 10, 2 0 3
74.7, 8, -4 2 1
82.4, 8, 2 2 2
83.0, 17, 4 -2 1

***

Entry 15:
For InAgSe2, a structure optimized by DFT (PBE) gives the computed X-ray diffraction stick pattern in this record (Cu Kα (weighted mean of Kα1 and Kα2)).

Crystal structure
a = 4.3637 Å, b = 4.3637 Å, c = 21.3818 Å
α = 90.00°, β = 90.00°, γ = 120.00°
Space group R3m (No. 160, hexagonal axes)
One atom of each set of equivalent atoms:
In: 0.0000 0.0000 0.0000 [3 per cell]
Ag: 0.0000 0.0000 0.4859 [3 per cell]
Se: 0.0000 0.0000 0.1190 [3 per cell]
Se: 0.0000 0.0000 0.6143 [3 per cell]

Peak list (10 most intense, 2θ from 10° to 90°, by angle)
Position (°2θ), Rel. int., hkl
25.0, 100, 0 1 2
37.9, 3, 0 0 9
41.4, 73, 1 1 0
48.9, 44, 2 0 2
60.0, 11, 2 0 8
66.0, 17, 1 2 2
75.5, 22, 3 0 0
80.5, 3, 0 1 17
80.9, 12, 2 1 10
89.9, 7, 2 2 0